This entry pairs a crystal structure of LiTm2Pb4 with its calculated PXRD pattern. Radiation: Cu Kα (weighted mean of Kα1 and Kα2). Structure: the PBE geometry in Alexandria.
Neutral-atom scattering factors, no anomalous dispersion.

Crystal structure
a = 18.608 Å, b = 3.594 Å, c = 6.326 Å
α = 90.00°, β = 109.44°, γ = 90.00°
Space group C2/m (No. 12)
Inequivalent atoms, fractional coordinates:
Li (0.000, 0.000, 0.000) (multiplicity 2)
Tm (0.243, 0.000, 0.244) (multiplicity 4)
Pb (0.104, 0.500, 0.310) (multiplicity 4)
Pb (0.105, 0.000, 0.755) (multiplicity 4)

Peak list (10 most intense, 2θ from 5° to 70°, by intensity)
d (Å)  2θ/deg  I_rel
2.941  30.40  100
2.552  35.17  80
2.983  29.96  42
2.925  30.57  30
1.539  60.10  26
1.819  50.16  20
1.797  50.81  14
4.387  20.24  14
2.139  42.25  13
1.531  60.46  11

This entry pairs a crystal structure of Li2Ca2As with its calculated PXRD pattern. Radiation: Cu Kα (weighted mean of Kα1 and Kα2). Structure: the PBE geometry in Alexandria.
Neutral-atom scattering factors, no anomalous dispersion.

Crystal structure
a = 3.757 Å, b = 3.757 Å, c = 18.954 Å
α = 90.00°, β = 90.00°, γ = 90.00°
Space group I4/mmm (No. 139)
Inequivalent atoms, fractional coordinates:
Li (0.000, 0.500, 0.250) (multiplicity 4)
Ca (0.000, 0.000, 0.084) (multiplicity 4)
As (0.000, 0.000, 0.500) (multiplicity 2)

Peak list (10 most intense, 2θ from 5° to 70°, by intensity)
d (Å)  2θ/deg  I_rel
9.477  9.33  100
2.669  33.58  38
2.558  35.08  24
2.197  41.09  20
2.657  33.74  19
3.229  27.62  17
1.536  60.25  13
1.428  65.36  9
1.879  48.46  8
1.843  49.46  6

This entry pairs a crystal structure of BaSbPd3 with its calculated PXRD pattern. Radiation: Cu Kα (weighted mean of Kα1 and Kα2). Structure: the PBE geometry in Alexandria.
Neutral-atom scattering factors, no anomalous dispersion.

Crystal structure
a = 5.853 Å, b = 9.676 Å, c = 8.726 Å
α = 90.00°, β = 90.00°, γ = 90.00°
Space group Imma (No. 74)
Inequivalent atoms, fractional coordinates:
Ba (0.000, 0.250, 0.039) (multiplicity 4)
Sb (0.000, 0.000, 0.500) (multiplicity 4)
Pd (0.000, 0.250, 0.635) (multiplicity 4)
Pd (0.250, 0.026, 0.750) (multiplicity 8)

Peak list (10 most intense, 2θ from 5° to 70°, by intensity)
d (Å)  2θ/deg  I_rel
2.430  36.99  100
2.294  39.28  82
3.429  25.99  81
2.419  37.17  72
3.290  27.11  68
2.504  35.86  59
1.714  53.44  55
6.480  13.66  44
3.240  27.53  40
2.172  41.58  37

This entry pairs a crystal structure of NbHgF5 with its calculated PXRD pattern. Radiation: Cu Kα (weighted mean of Kα1 and Kα2). Structure: the PBE geometry in Alexandria.
Neutral-atom scattering factors, no anomalous dispersion.

Crystal structure
a = 4.574 Å, b = 6.326 Å, c = 9.431 Å
α = 93.19°, β = 103.96°, γ = 90.07°
Space group P-1 (No. 2)
Inequivalent atoms, fractional coordinates:
Nb (0.000, 0.000, 0.000) (multiplicity 1)
Nb (0.500, 0.500, 0.000) (multiplicity 1)
Hg (0.002, 0.249, 0.500) (multiplicity 2)
F (0.145, 0.986, 0.826) (multiplicity 2)
F (0.182, 0.485, 0.826) (multiplicity 2)
F (0.289, 0.257, 0.078) (multiplicity 2)
F (0.289, 0.757, 0.078) (multiplicity 2)
F (0.498, 0.750, 0.500) (multiplicity 2)

Peak list (10 most intense, 2θ from 5° to 70°, by intensity)
d (Å)  2θ/deg  I_rel
4.569  19.43  100
4.437  20.01  66
3.657  24.34  44
3.041  29.37  43
2.933  30.48  29
2.432  36.96  24
1.829  49.86  23
2.350  38.30  22
2.219  40.66  21
2.285  39.43  21

This entry pairs a crystal structure of BC3 with its calculated PXRD pattern. Radiation: Cu Kα (weighted mean of Kα1 and Kα2). Structure: the PBE geometry in Alexandria.
Neutral-atom scattering factors, no anomalous dispersion.

Crystal structure
a = 8.141 Å, b = 3.602 Å, c = 5.251 Å
α = 90.00°, β = 105.25°, γ = 90.00°
Space group C2 (No. 5)
Inequivalent atoms, fractional coordinates:
B (0.000, 0.000, 0.000) (multiplicity 2)
B (0.162, 0.500, 0.836) (multiplicity 4)
C (0.000, 0.999, 0.500) (multiplicity 2)
C (0.013, 0.754, 0.268) (multiplicity 4)
C (0.163, 0.243, 0.578) (multiplicity 4)
C (0.170, 0.500, 0.340) (multiplicity 4)
C (0.172, 0.258, 0.101) (multiplicity 4)

Peak list (5 most intense, 2θ from 5° to 70°, by intensity)
d (Å)  2θ/deg  I_rel
2.118  42.68  100
5.066  17.51  5
2.771  32.31  1
2.899  30.85  1
1.821  50.09  1

This entry pairs a crystal structure of Mg5Ga5Rh with its calculated PXRD pattern. Radiation: Cu Kα (weighted mean of Kα1 and Kα2). Structure: the PBE geometry in Alexandria.
Neutral-atom scattering factors, no anomalous dispersion.

Crystal structure
a = 4.730 Å, b = 5.681 Å, c = 16.831 Å
α = 90.00°, β = 90.00°, γ = 90.00°
Space group Immm (No. 71)
Inequivalent atoms, fractional coordinates:
Mg (0.000, 0.000, 0.000) (multiplicity 2)
Mg (0.000, 0.000, 0.281) (multiplicity 4)
Mg (0.000, 0.500, 0.348) (multiplicity 4)
Ga (0.000, 0.000, 0.500) (multiplicity 2)
Ga (0.000, 0.274, 0.138) (multiplicity 8)
Rh (0.000, 0.500, 0.000) (multiplicity 2)

Peak list (10 most intense, 2θ from 5° to 70°, by intensity)
d (Å)  2θ/deg  I_rel
4.554  19.49  100
2.234  40.38  99
2.354  38.23  89
5.382  16.47  89
2.365  38.05  75
1.669  55.04  60
2.805  31.90  46
2.143  42.16  38
8.416  10.51  37
3.992  22.27  31

This entry pairs a crystal structure of K4Hg6F19 with its calculated PXRD pattern. Radiation: Cu Kα (weighted mean of Kα1 and Kα2). Structure: the PBE geometry in Alexandria.
Neutral-atom scattering factors, no anomalous dispersion.

Crystal structure
a = 10.523 Å, b = 10.523 Å, c = 10.523 Å
α = 90.00°, β = 90.00°, γ = 90.00°
Space group I23 (No. 197)
Inequivalent atoms, fractional coordinates:
K (0.143, 0.143, 0.857) (multiplicity 8)
Hg (0.000, 0.333, 0.500) (multiplicity 12)
F (0.000, 0.000, 0.000) (multiplicity 2)
F (0.000, 0.000, 0.356) (multiplicity 12)
F (0.016, 0.323, 0.710) (multiplicity 24)

Peak list (10 most intense, 2θ from 5° to 70°, by intensity)
d (Å)  2θ/deg  I_rel
3.328  26.79  100
2.812  31.82  87
7.441  11.89  78
2.064  43.87  57
5.261  16.85  51
1.754  52.15  32
1.707  53.69  27
2.148  42.07  21
1.552  59.59  20
1.488  62.40  20

This entry pairs a crystal structure of Tl2CdHg12 with its calculated PXRD pattern. Radiation: Cu Kα (weighted mean of Kα1 and Kα2). Structure: the PBE geometry in Alexandria.
Neutral-atom scattering factors, no anomalous dispersion.

Crystal structure
a = 6.303 Å, b = 6.303 Å, c = 22.533 Å
α = 90.00°, β = 90.00°, γ = 90.00°
Space group P4/nbm (No. 125, origin choice 2)
Inequivalent atoms, fractional coordinates:
Tl (0.250, 0.750, 0.240) (multiplicity 4)
Cd (0.250, 0.750, 0.000) (multiplicity 2)
Hg (0.001, 0.501, 0.094) (multiplicity 8)
Hg (0.057, 0.557, 0.568) (multiplicity 8)
Hg (0.250, 0.250, 0.196) (multiplicity 4)
Hg (0.250, 0.250, 0.330) (multiplicity 4)

Peak list (10 most intense, 2θ from 5° to 70°, by intensity)
d (Å)  2θ/deg  I_rel
3.035  29.43  100
2.228  40.48  63
2.414  37.25  59
2.750  32.56  38
2.872  31.14  32
1.627  56.57  25
2.381  37.78  22
2.504  35.87  22
2.583  34.74  22
3.755  23.69  22